(1)
For Sc2B6Rh, a crystal structure in the Materials Project, relaxed with PBE gives the simulated powder diffraction line list in this record (Cu Kα X-rays).
Lines closer than 0.1° are merged.

The 8 most intense peaks (2θ = 15–90°), low angle first:
2θ = 18.7°, d = 4.744 Å, I 45.6; 2θ = 21.4°, d = 4.147 Å, I 55.7; 2θ = 25.7°, d = 3.466 Å, I 100.0; 2θ = 33.5°, d = 2.671 Å, I 52.8; 2θ = 40.8°, d = 2.214 Å, I 60.6; 2θ = 40.9°, d = 2.208 Å, I 45.5; 2θ = 42.7°, d = 2.116 Å, I 77.6; 2θ = 47.0°, d = 1.932 Å, I 50.5

Structural model:
a = 8.9293 Å, b = 11.1985 Å, c = 3.4659 Å
α = 90.00°, β = 90.00°, γ = 90.00°
Space group Pbam (No. 55)
Asymmetric unit:
Sc: 0.0553 0.1267 0.0000
Sc: 0.1812 0.4143 0.0000
B: 0.0195 0.2871 0.5000
B: 0.0546 0.5633 0.5000
B: 0.1024 0.9724 0.5000
B: 0.1318 0.8190 0.5000
B: 0.2031 0.2382 0.5000
B: 0.2469 0.0780 0.5000
Rh: 0.1412 0.6799 0.0000

(2)
For ZrCuGe, a crystal structure in the Materials Project, relaxed with PBE gives the simulated powder diffraction line list in this record (Cu Kα X-rays).
Lines closer than 0.1° are merged.

The 8 most intense peaks (2θ = 15–90°), low angle first:
2θ = 35.7°, d = 2.517 Å, I 56.6; 2θ = 36.4°, d = 2.467 Å, I 28.0; 2θ = 37.4°, d = 2.403 Å, I 100.0; 2θ = 38.7°, d = 2.326 Å, I 15.4; 2θ = 42.9°, d = 2.110 Å, I 52.0; 2θ = 43.0°, d = 2.104 Å, I 23.2; 2θ = 45.5°, d = 1.994 Å, I 38.4; 2θ = 70.3°, d = 1.338 Å, I 20.1

Structural model:
a = 6.5798 Å, b = 3.9887 Å, c = 7.4599 Å
α = 90.00°, β = 90.00°, γ = 90.00°
Space group Pnma (No. 62)
Asymmetric unit:
Zr: 0.0141 0.2500 0.1921
Cu: 0.1630 0.2500 0.5732
Ge: 0.2256 0.7500 0.3931

(3)
For Be3ZnO4, a crystal structure in the Materials Project, relaxed with PBE gives the simulated powder diffraction line list in this record (Cu Kα X-rays).
Lines closer than 0.1° are merged.

The 8 most intense peaks (2θ = 15–90°), low angle first:
2θ = 22.4°, d = 3.967 Å, I 24.9; 2θ = 24.6°, d = 3.615 Å, I 87.6; 2θ = 31.1°, d = 2.872 Å, I 35.4; 2θ = 38.7°, d = 2.326 Å, I 100.0; 2θ = 40.7°, d = 2.216 Å, I 42.5; 2θ = 50.5°, d = 1.808 Å, I 21.2; 2θ = 51.6°, d = 1.770 Å, I 39.5; 2θ = 65.8°, d = 1.419 Å, I 30.3

Structural model:
a = 4.0613 Å, b = 4.0613 Å, c = 7.9332 Å
α = 90.00°, β = 90.00°, γ = 90.00°
Space group I-42m (No. 121)
Asymmetric unit:
Be: 0.0000 0.0000 0.0000
Be: 0.0000 0.5000 0.2500
Zn: 0.0000 0.0000 0.5000
O: 0.2196 0.2196 0.8625

(4)
For SnBi, a crystal structure in the Materials Project, relaxed with PBE gives the simulated powder diffraction line list in this record (Cu Kα X-rays).
Lines closer than 0.1° are merged.

The 8 most intense peaks (2θ = 15–90°), low angle first:
2θ = 30.7°, d = 2.914 Å, I 99.5; 2θ = 31.4°, d = 2.847 Å, I 84.4; 2θ = 31.7°, d = 2.821 Å, I 100.0; 2θ = 31.9°, d = 2.806 Å, I 40.2; 2θ = 38.8°, d = 2.321 Å, I 51.3; 2θ = 42.1°, d = 2.145 Å, I 32.4; 2θ = 44.8°, d = 2.021 Å, I 34.7; 2θ = 60.9°, d = 1.520 Å, I 34.4

Structural model:
a = 11.2259 Å, b = 6.6060 Å, c = 6.5269 Å
α = 90.00°, β = 90.00°, γ = 90.00°
Space group Cmce (No. 64)
Asymmetric unit:
Sn: 0.0000 0.1593 0.1772
Bi: 0.2094 0.0000 0.5000

(5)
For PuRe2, a crystal structure in the Materials Project, relaxed with PBE gives the simulated powder diffraction line list in this record (Cu Kα X-rays).
Lines closer than 0.1° are merged.

The 8 most intense peaks (2θ = 15–90°), low angle first:
2θ = 31.9°, d = 2.804 Å, I 25.8; 2θ = 38.7°, d = 2.327 Å, I 100.0; 2θ = 39.0°, d = 2.310 Å, I 71.2; 2θ = 39.3°, d = 2.292 Å, I 32.3; 2θ = 39.6°, d = 2.279 Å, I 15.9; 2θ = 43.9°, d = 2.064 Å, I 15.2; 2θ = 49.5°, d = 1.840 Å, I 21.6; 2θ = 66.7°, d = 1.402 Å, I 20.7

Structural model:
a = 5.5592 Å, b = 9.7420 Å, c = 7.9570 Å
α = 90.00°, β = 90.00°, γ = 90.00°
Space group Cmcm (No. 63)
Asymmetric unit:
Pu: 0.0000 0.1667 0.1034
Re: 0.0000 0.3275 0.7500
Re: 0.0000 0.5000 0.0000
Re: 0.2399 0.0867 0.7500

(6)
For Sr3InRhO6, a crystal structure in the Materials Project, relaxed with PBE gives the simulated powder diffraction line list in this record (Cu Kα X-rays).
Lines closer than 0.1° are merged.

The 8 most intense peaks (2θ = 15–90°), low angle first:
2θ = 18.2°, d = 4.870 Å, I 31.1; 2θ = 29.5°, d = 3.026 Å, I 53.6; 2θ = 31.8°, d = 2.811 Å, I 100.0; 2θ = 37.7°, d = 2.388 Å, I 31.6; 2θ = 42.2°, d = 2.144 Å, I 35.3; 2θ = 44.0°, d = 2.060 Å, I 30.2; 2θ = 56.7°, d = 1.623 Å, I 14.4; 2θ = 57.3°, d = 1.609 Å, I 27.1

Structural model:
a = 9.7392 Å, b = 9.7392 Å, c = 11.5862 Å
α = 90.00°, β = 90.00°, γ = 120.00°
Space group R-3c (No. 167, hexagonal axes)
Asymmetric unit:
Sr: 0.0000 0.3687 0.2500
In: 0.0000 0.0000 0.2500
Rh: 0.0000 0.0000 0.0000
O: 0.0202 0.1751 0.3853

(7)
For CrN2, a crystal structure in the Materials Project, relaxed with PBE gives the simulated powder diffraction line list in this record (Cu Kα X-rays).
Lines closer than 0.1° are merged.

The 8 most intense peaks (2θ = 15–90°), low angle first:
2θ = 29.5°, d = 3.030 Å, I 67.0; 2θ = 37.4°, d = 2.406 Å, I 74.4; 2θ = 39.8°, d = 2.266 Å, I 100.0; 2θ = 46.6°, d = 1.951 Å, I 15.6; 2θ = 55.7°, d = 1.649 Å, I 48.4; 2θ = 61.1°, d = 1.516 Å, I 43.5; 2θ = 62.6°, d = 1.483 Å, I 13.6; 2θ = 75.8°, d = 1.255 Å, I 11.1

Structural model:
a = 3.9018 Å, b = 4.8095 Å, c = 2.7842 Å
α = 90.00°, β = 90.00°, γ = 90.00°
Space group Pnnm (No. 58)
Asymmetric unit:
Cr: 0.0000 0.0000 0.0000
N: 0.1338 0.4112 0.0000

(8)
For USi2Rh2, a crystal structure in the Materials Project, relaxed with PBE gives the simulated powder diffraction line list in this record (Cu Kα X-rays).
Lines closer than 0.1° are merged.

The 8 most intense peaks (2θ = 15–90°), low angle first:
2θ = 23.8°, d = 3.736 Å, I 48.0; 2θ = 34.7°, d = 2.583 Å, I 38.6; 2θ = 35.5°, d = 2.528 Å, I 19.6; 2θ = 36.3°, d = 2.478 Å, I 100.0; 2θ = 45.1°, d = 2.010 Å, I 33.5; 2θ = 58.2°, d = 1.586 Å, I 18.0; 2θ = 58.7°, d = 1.573 Å, I 18.7; 2θ = 77.4°, d = 1.233 Å, I 22.7

Structural model:
a = 4.0203 Å, b = 4.0203 Å, c = 10.1128 Å
α = 90.00°, β = 90.00°, γ = 90.00°
Space group I4/mmm (No. 139)
Asymmetric unit:
U: 0.0000 0.0000 0.0000
Si: 0.0000 0.0000 0.3833
Rh: 0.0000 0.5000 0.2500

(9)
For Zr2Ga, a crystal structure in the Materials Project, relaxed with PBE gives the simulated powder diffraction line list in this record (Cu Kα X-rays).
Lines closer than 0.1° are merged.

The 8 most intense peaks (2θ = 15–90°), low angle first:
2θ = 34.1°, d = 2.632 Å, I 100.0; 2θ = 37.9°, d = 2.374 Å, I 40.8; 2θ = 42.6°, d = 2.122 Å, I 65.4; 2θ = 59.2°, d = 1.561 Å, I 29.3; 2θ = 65.2°, d = 1.431 Å, I 15.8; 2θ = 68.5°, d = 1.370 Å, I 23.8; 2θ = 78.8°, d = 1.215 Å, I 16.1; 2θ = 84.0°, d = 1.152 Å, I 10.5

Structural model:
a = 6.7068 Å, b = 6.7068 Å, c = 5.4853 Å
α = 90.00°, β = 90.00°, γ = 90.00°
Space group I4/mcm (No. 140)
Asymmetric unit:
Zr: 0.1541 0.3459 0.0000
Ga: 0.0000 0.0000 0.2500

(10)
For ThI3, a crystal structure in the Materials Project, relaxed with PBE gives the simulated powder diffraction line list in this record (Cu Kα X-rays).
Lines closer than 0.1° are merged.

The 8 most intense peaks (2θ = 15–90°), low angle first:
2θ = 27.7°, d = 3.226 Å, I 60.3; 2θ = 28.9°, d = 3.088 Å, I 81.2; 2θ = 29.9°, d = 2.987 Å, I 100.0; 2θ = 31.7°, d = 2.824 Å, I 73.4; 2θ = 32.2°, d = 2.778 Å, I 42.8; 2θ = 33.9°, d = 2.641 Å, I 51.3; 2θ = 35.5°, d = 2.529 Å, I 52.2; 2θ = 48.8°, d = 1.867 Å, I 55.8

Structural model:
a = 9.3144 Å, b = 20.3837 Å, c = 14.9295 Å
α = 90.00°, β = 90.00°, γ = 90.00°
Space group Cccm (No. 66)
Asymmetric unit:
Th: 0.0000 0.0000 0.0000
Th: 0.0000 0.0000 0.2500
Th: 0.1725 0.1724 0.0000
I: 0.0141 0.3036 0.5000
I: 0.1018 0.1231 0.3728
I: 0.2271 0.4525 0.1289
I: 0.2500 0.2500 0.1792

(11)
For Ca3Mg, a crystal structure in the Materials Project, relaxed with PBE gives the simulated powder diffraction line list in this record (Cu Kα X-rays).
Lines closer than 0.1° are merged.

The 8 most intense peaks (2θ = 15–90°), low angle first:
2θ = 18.5°, d = 4.803 Å, I 2.9; 2θ = 30.4°, d = 2.942 Å, I 100.0; 2θ = 43.5°, d = 2.080 Å, I 17.3; 2θ = 54.0°, d = 1.698 Å, I 34.6; 2θ = 63.2°, d = 1.471 Å, I 10.3; 2θ = 71.8°, d = 1.315 Å, I 13.6; 2θ = 79.9°, d = 1.201 Å, I 3.3; 2θ = 87.8°, d = 1.112 Å, I 15.3

Structural model:
a = 8.3198 Å, b = 8.3198 Å, c = 8.3198 Å
α = 90.00°, β = 90.00°, γ = 90.00°
Space group Fm-3m (No. 225)
Asymmetric unit:
Ca: 0.0000 0.0000 0.0000
Ca: 0.2500 0.2500 0.2500
Mg: 0.0000 0.0000 0.5000

(12)
For Mg14CrMo, a crystal structure in the Materials Project, relaxed with PBE gives the simulated powder diffraction line list in this record (Cu Kα X-rays).
Lines closer than 0.1° are merged.

The 8 most intense peaks (2θ = 15–90°), low angle first:
2θ = 18.5°, d = 4.808 Å, I 17.4; 2θ = 33.3°, d = 2.694 Å, I 28.4; 2θ = 35.9°, d = 2.500 Å, I 38.5; 2θ = 37.4°, d = 2.404 Å, I 54.4; 2θ = 37.9°, d = 2.372 Å, I 100.0; 2θ = 58.7°, d = 1.574 Å, I 17.7; 2θ = 65.9°, d = 1.417 Å, I 17.4; 2θ = 70.7°, d = 1.332 Å, I 18.8

Structural model:
a = 10.0007 Å, b = 6.1859 Å, c = 10.9673 Å
α = 90.00°, β = 90.00°, γ = 90.00°
Space group Amm2 (No. 38)
Asymmetric unit:
Mg: 0.0000 0.0000 0.0000
Mg: 0.0000 0.0000 0.4991
Mg: 0.0000 0.2491 0.2511
Mg: 0.2527 0.0000 0.6631
Mg: 0.2568 0.0000 0.1613
Mg: 0.2620 0.2465 0.9197
Mg: 0.5000 0.2493 0.2501
Cr: 0.5000 0.0000 0.4999
Mo: 0.5000 0.0000 0.0045